# Ba7Ge6
Theoretical PXRD pattern, Cu Kα, 1.54184 Å. Input: a cell relaxed with GGA-PBE.

Cell lengths 8.201, 24.946, 9.095 Å; angles 90.00, 90.00, 90.00 degrees
Space group Pnma (No. 62)
Asymmetric unit:
Ba 0.036 0.162 0.182 [8 per cell]
Ba 0.123 0.640 0.316 [8 per cell]
Ba 0.155 0.519 0.676 [8 per cell]
Ba 0.210 0.250 0.532 [4 per cell]
Ge 0.006 0.551 0.035 [8 per cell]
Ge 0.111 0.250 0.887 [4 per cell]
Ge 0.170 0.750 0.584 [4 per cell]
Ge 0.211 0.095 0.475 [8 per cell]

Principal peaks in the range 10 to 90 degrees two-theta, low angle first:
d = 3.353 Å, 2θ = 26.6°, intensity 40, (1 4 2)
d = 3.318 Å, 2θ = 26.9°, intensity 23, (0 7 1)
d = 3.206 Å, 2θ = 27.8°, intensity 100, (2 4 1)
d = 3.111 Å, 2θ = 28.7°, intensity 86, (1 5 2)
d = 3.070 Å, 2θ = 29.1°, intensity 83, (0 6 2)
d = 2.958 Å, 2θ = 30.2°, intensity 24, (2 2 2)
d = 2.825 Å, 2θ = 31.7°, intensity 36, (1 1 3)
d = 2.774 Å, 2θ = 32.3°, intensity 44, (1 2 3)
d = 2.618 Å, 2θ = 34.2°, intensity 35, (3 0 1)
d = 1.824 Å, 2θ = 50.0°, intensity 27, (3 6 3)